Entry 1:
Computed X-ray diffraction stick pattern of CdBiIrO6 for λ = 1.5418 Å (Cu Kα), from a structure optimized by DFT (PBE).
Kinematic intensities with the Lorentz-polarization factor, no thermal factor.

Structure:
a b c (Å): 5.5634 5.5634 9.2765
angles (deg): 90.00 90.00 120.00
Atoms (fractional coordinates):
Cd  0.0000  0.0000  0.0000
Cd  0.0000  0.0000  0.5000
Bi  0.3333  0.6667  0.2500
Bi  0.6667  0.3333  0.7500
Ir  0.3333  0.6667  0.7500
Ir  0.6667  0.3333  0.2500
O  0.0380  0.3786  0.6333
O  0.0380  0.6594  0.8667
O  0.3406  0.3786  0.8667
O  0.3406  0.9620  0.6333
O  0.3786  0.0380  0.1333
O  0.3786  0.3406  0.3667
O  0.6214  0.6594  0.6333
O  0.6214  0.9620  0.8667
O  0.6594  0.0380  0.3667
O  0.6594  0.6214  0.1333
O  0.9620  0.3406  0.1333
O  0.9620  0.6214  0.3667

Most intense lines, 5° ≤ 2θ ≤ 70°, by angle:
18.41°, d 4.818, rel. 10; 19.13°, d 4.638, rel. 31; 26.68°, d 3.342, rel. 100; 32.18°, d 2.782, rel. 67; 37.71°, d 2.386, rel. 34; 38.83°, d 2.319, rel. 11; 42.27°, d 2.138, rel. 29; 51.29°, d 1.781, rel. 52; 54.10°, d 1.695, rel. 28; 57.37°, d 1.606, rel. 20; 61.06°, d 1.518, rel. 9; 67.32°, d 1.391, rel. 9

Entry 2:
Computed X-ray diffraction stick pattern of Y2HfIrI for λ = 1.5418 Å (Cu Kα), from a structure optimized by DFT (PBE).
Kinematic intensities with the Lorentz-polarization factor, no thermal factor.

Structure:
a b c (Å): 5.8138 5.8138 4.7419
angles (deg): 90.00 90.00 90.00
Atoms (fractional coordinates):
Y  0.0000  0.5000  0.0000
Y  0.5000  0.0000  0.0000
Hf  0.0000  0.0000  0.0000
Ir  0.0000  0.0000  0.5000
I  0.5000  0.5000  0.5000

Most intense lines, 5° ≤ 2θ ≤ 70°, by angle:
15.24°, d 5.814, rel. 66; 21.62°, d 4.111, rel. 49; 28.74°, d 3.106, rel. 55; 30.76°, d 2.907, rel. 100; 34.50°, d 2.600, rel. 19; 37.95°, d 2.371, rel. 28; 44.07°, d 2.055, rel. 53; 49.61°, d 1.838, rel. 64; 52.21°, d 1.752, rel. 12; 53.45°, d 1.714, rel. 19; 59.52°, d 1.553, rel. 30; 64.08°, d 1.453, rel. 23

Entry 3:
Computed X-ray diffraction stick pattern of LuThAlTc for λ = 1.5418 Å (Cu Kα), from a structure optimized by DFT (PBE).
Kinematic intensities with the Lorentz-polarization factor, no thermal factor.

Structure:
a b c (Å): 5.0193 5.0193 5.0193
angles (deg): 60.00 60.00 60.00
Atoms (fractional coordinates):
Lu  0.0000  0.0000  0.0000
Th  0.5000  0.5000  0.5000
Al  0.2500  0.2500  0.2500
Tc  0.7500  0.7500  0.7500

Most intense lines, 5° ≤ 2θ ≤ 70°, by angle:
21.68°, d 4.098, rel. 7; 25.09°, d 3.549, rel. 32; 35.78°, d 2.510, rel. 100; 42.23°, d 2.140, rel. 4; 44.20°, d 2.049, rel. 10; 51.50°, d 1.775, rel. 18; 56.51°, d 1.628, rel. 2; 58.12°, d 1.587, rel. 14; 64.29°, d 1.449, rel. 37; 68.71°, d 1.366, rel. 1

Entry 4:
Computed X-ray diffraction stick pattern of Nd2PuGe3Rh4 for λ = 1.5418 Å (Cu Kα), from a structure optimized by DFT (PBE).
Kinematic intensities with the Lorentz-polarization factor, no thermal factor.

Structure:
a b c (Å): 4.2422 4.2422 10.9515
angles (deg): 90.00 90.00 90.00
Atoms (fractional coordinates):
Nd  0.0000  0.5000  0.2311
Nd  0.5000  0.0000  0.7689
Pu  0.0000  0.0000  0.5000
Ge  0.0000  0.5000  0.8779
Ge  0.5000  0.0000  0.1221
Ge  0.5000  0.5000  0.5000
Rh  0.0000  0.0000  0.0000
Rh  0.0000  0.5000  0.6524
Rh  0.5000  0.0000  0.3476
Rh  0.5000  0.5000  0.0000

Most intense lines, 5° ≤ 2θ ≤ 70°, by angle:
26.58°, d 3.354, rel. 10; 32.35°, d 2.767, rel. 33; 34.08°, d 2.631, rel. 100; 39.16°, d 2.300, rel. 9; 42.62°, d 2.121, rel. 49; 44.82°, d 2.022, rel. 21; 46.67°, d 1.946, rel. 18; 54.51°, d 1.683, rel. 15; 54.75°, d 1.677, rel. 10; 59.26°, d 1.559, rel. 15; 61.86°, d 1.500, rel. 16; 65.04°, d 1.434, rel. 13